No. 1
Diffraction record for SrNi2P2O8. The powder diffraction line list is calculated, not measured: it uses DFT lattice parameters and positions (GGA+U) and Cu Kα (weighted mean of Kα1 and Kα2).
Intensities are scaled so that the largest is 100.

Largest 10 diffraction maxima, low angle first, 5° ≤ 2θ ≤ 70°:
8.328 Å, 2θ = 10.6°, rel. 21, (0 0 1)
4.129 Å, 2θ = 21.5°, rel. 17, (1 -1 1)
3.186 Å, 2θ = 28.0°, rel. 100, (0 2 -2)
2.984 Å, 2θ = 29.9°, rel. 18, (-1 1 2)
2.917 Å, 2θ = 30.6°, rel. 62, (1 1 1)
2.774 Å, 2θ = 32.3°, rel. 47, (1 0 -3)
2.724 Å, 2θ = 32.9°, rel. 31, (2 0 -1)
2.655 Å, 2θ = 33.8°, rel. 23, (2 -1 0)
2.636 Å, 2θ = 34.0°, rel. 36, (-1 2 1)
1.942 Å, 2θ = 46.8°, rel. 22, (1 3 -1)

a b c (Å): 5.512 6.888 9.262
angles (deg): 111.29 100.99 98.11
Space group P-1 (No. 2)
Symmetry-distinct sites (fractional):
1 Sr 0.241 0.200 0.447 (multiplicity 2)
2 Ni 0.142 0.856 0.061 (multiplicity 2)
3 Ni 0.488 0.396 0.160 (multiplicity 2)
4 P 0.108 0.571 0.258 (multiplicity 2)
5 P 0.347 0.026 0.806 (multiplicity 2)
6 O 0.119 0.404 0.091 (multiplicity 2)
7 O 0.122 0.954 0.869 (multiplicity 2)
8 O 0.146 0.483 0.702 (multiplicity 2)
9 O 0.157 0.799 0.263 (multiplicity 2)
10 O 0.247 0.010 0.636 (multiplicity 2)
11 O 0.337 0.546 0.374 (multiplicity 2)
12 O 0.455 0.120 0.197 (multiplicity 2)
13 O 0.492 0.745 0.070 (multiplicity 2)



No. 2
Diffraction record for SrZnNiP2O8. The powder diffraction line list is calculated, not measured: it uses DFT lattice parameters and positions (GGA+U) and Cu Kα (weighted mean of Kα1 and Kα2).
Intensities are scaled so that the largest is 100.

Largest 10 diffraction maxima, low angle first, 5° ≤ 2θ ≤ 70°:
8.424 Å, 2θ = 10.5°, rel. 25, (0 0 1)
3.208 Å, 2θ = 27.8°, rel. 100, (0 2 -2)
3.035 Å, 2θ = 29.4°, rel. 23, (-1 1 2)
2.921 Å, 2θ = 30.6°, rel. 62, (1 1 1)
2.815 Å, 2θ = 31.8°, rel. 55, (1 0 -3)
2.711 Å, 2θ = 33.0°, rel. 34, (2 0 -1)
2.676 Å, 2θ = 33.5°, rel. 39, (-1 2 1)
2.639 Å, 2θ = 34.0°, rel. 28, (2 -1 0)
1.957 Å, 2θ = 46.4°, rel. 24, (1 3 -1)
1.805 Å, 2θ = 50.6°, rel. 18, (1 2 -5)

a b c (Å): 5.482 6.952 9.363
angles (deg): 110.68 101.76 98.15
Space group P-1 (No. 2)
Symmetry-distinct sites (fractional):
1 Sr 0.249 0.299 0.051 (multiplicity 2)
2 Zn 0.010 0.116 0.353 (multiplicity 2)
3 Ni 0.362 0.647 0.439 (multiplicity 2)
4 P 0.157 0.476 0.698 (multiplicity 2)
5 P 0.396 0.924 0.237 (multiplicity 2)
6 O 0.004 0.752 0.422 (multiplicity 2)
7 O 0.047 0.385 0.304 (multiplicity 2)
8 O 0.188 0.946 0.108 (multiplicity 2)
9 O 0.262 0.497 0.867 (multiplicity 2)
10 O 0.335 0.025 0.791 (multiplicity 2)
11 O 0.341 0.702 0.238 (multiplicity 2)
12 O 0.377 0.092 0.398 (multiplicity 2)
13 O 0.379 0.546 0.631 (multiplicity 2)



No. 3
Diffraction record for Sr2ZnNi2P4O16. The powder diffraction line list is calculated, not measured: it uses DFT lattice parameters and positions (GGA+U) and Cu Kα (weighted mean of Kα1 and Kα2).
Intensities are scaled so that the largest is 100.

Largest 10 diffraction maxima, low angle first, 5° ≤ 2θ ≤ 70°:
8.347 Å, 2θ = 10.6°, rel. 21, (0 0 1)
4.000 Å, 2θ = 22.2°, rel. 24, (1 1 -1)
3.954 Å, 2θ = 22.5°, rel. 20, (-1 1 1)
3.168 Å, 2θ = 28.2°, rel. 100, (0 2 -2)
3.021 Å, 2θ = 29.6°, rel. 20, (-1 1 2)
2.929 Å, 2θ = 30.5°, rel. 52, (1 1 1)
2.792 Å, 2θ = 32.1°, rel. 40, (1 0 -3)
2.742 Å, 2θ = 32.7°, rel. 34, (2 0 -1)
2.668 Å, 2θ = 33.6°, rel. 60, (-1 2 1)
2.124 Å, 2θ = 42.6°, rel. 18, (1 2 1)

a b c (Å): 5.551 6.885 9.240
angles (deg): 110.27 101.50 98.41
Space group P1 (No. 1)
Symmetry-distinct sites (fractional):
1 Sr 0.000 0.000 0.000 (multiplicity 1)
2 Sr 0.488 0.410 0.887 (multiplicity 1)
3 Zn 0.740 0.654 0.574 (multiplicity 1)
4 Ni 0.098 0.343 0.385 (multiplicity 1)
5 Ni 0.403 0.050 0.495 (multiplicity 1)
6 P 0.142 0.629 0.179 (multiplicity 1)
7 P 0.340 0.778 0.703 (multiplicity 1)
8 P 0.595 0.231 0.244 (multiplicity 1)
9 P 0.903 0.176 0.642 (multiplicity 1)
10 O 0.018 0.215 0.818 (multiplicity 1)
11 O 0.079 0.723 0.735 (multiplicity 1)
12 O 0.104 0.406 0.188 (multiplicity 1)
13 O 0.121 0.244 0.571 (multiplicity 1)
14 O 0.145 0.800 0.341 (multiplicity 1)
15 O 0.354 0.606 0.539 (multiplicity 1)
16 O 0.372 0.156 0.308 (multiplicity 1)
17 O 0.381 0.668 0.124 (multiplicity 1)
18 O 0.385 0.000 0.696 (multiplicity 1)
19 O 0.484 0.207 0.072 (multiplicity 1)
20 O 0.559 0.765 0.829 (multiplicity 1)
21 O 0.698 0.310 0.632 (multiplicity 1)
22 O 0.751 0.942 0.538 (multiplicity 1)
23 O 0.754 0.458 0.364 (multiplicity 1)
24 O 0.803 0.099 0.246 (multiplicity 1)
25 O 0.919 0.642 0.054 (multiplicity 1)



No. 4
Diffraction record for TaNiP2O9. The powder diffraction line list is calculated, not measured: it uses DFT lattice parameters and positions (GGA+U) and Cu Kα (weighted mean of Kα1 and Kα2).
Intensities are scaled so that the largest is 100.

Largest 10 diffraction maxima, low angle first, 5° ≤ 2θ ≤ 70°:
7.149 Å, 2θ = 12.4°, rel. 33, (2 0 0)
5.324 Å, 2θ = 16.7°, rel. 100, (2 0 1)
5.018 Å, 2θ = 17.7°, rel. 70, (0 1 1)
4.792 Å, 2θ = 18.5°, rel. 41, (2 1 0)
4.735 Å, 2θ = 18.7°, rel. 59, (1 1 1)
3.842 Å, 2θ = 23.2°, rel. 56, (1 0 2)
3.060 Å, 2θ = 29.2°, rel. 38, (3 0 2)
2.929 Å, 2θ = 30.5°, rel. 36, (1 2 1)
2.912 Å, 2θ = 30.7°, rel. 36, (4 1 1)
2.761 Å, 2θ = 32.4°, rel. 43, (2 2 1)

a b c (Å): 14.299 6.456 7.976
angles (deg): 90.00 90.00 90.00
Space group Pnma (No. 62)
Symmetry-distinct sites (fractional):
1 Ta 0.120 0.250 0.155 (multiplicity 4)
2 Ni 0.000 0.000 0.500 (multiplicity 4)
3 P 0.057 0.750 0.156 (multiplicity 4)
4 P 0.187 0.750 0.607 (multiplicity 4)
5 O 0.018 0.750 0.335 (multiplicity 4)
6 O 0.022 0.250 0.976 (multiplicity 4)
7 O 0.052 0.250 0.350 (multiplicity 4)
8 O 0.119 0.557 0.130 (multiplicity 8)
9 O 0.126 0.555 0.604 (multiplicity 8)
10 O 0.240 0.250 0.964 (multiplicity 4)
11 O 0.247 0.250 0.265 (multiplicity 4)



No. 5
Diffraction record for NiTeP2O9. The powder diffraction line list is calculated, not measured: it uses DFT lattice parameters and positions (GGA+U) and Cu Kα (weighted mean of Kα1 and Kα2).
Intensities are scaled so that the largest is 100.

Largest 10 diffraction maxima, low angle first, 5° ≤ 2θ ≤ 70°:
7.024 Å, 2θ = 12.6°, rel. 42, (0 0 2)
5.233 Å, 2θ = 16.9°, rel. 100, (0 1 2)
4.955 Å, 2θ = 17.9°, rel. 66, (1 1 0)
4.673 Å, 2θ = 19.0°, rel. 71, (1 1 1)
3.778 Å, 2θ = 23.5°, rel. 76, (0 2 1)
3.198 Å, 2θ = 27.9°, rel. 34, (2 0 0)
3.007 Å, 2θ = 29.7°, rel. 31, (0 2 3)
2.896 Å, 2θ = 30.9°, rel. 52, (2 1 1)
2.865 Å, 2θ = 31.2°, rel. 29, (1 1 4)
2.726 Å, 2θ = 32.9°, rel. 40, (2 1 2)

a b c (Å): 6.391 7.846 14.049
angles (deg): 90.01 90.00 90.00
Space group P1 (No. 1)
Symmetry-distinct sites (fractional):
1 Ni 0.000 0.000 0.000 (multiplicity 1)
2 Ni 0.000 0.500 0.500 (multiplicity 1)
3 Ni 0.500 0.000 0.000 (multiplicity 1)
4 Ni 0.501 0.500 0.500 (multiplicity 1)
5 Te 0.250 0.152 0.374 (multiplicity 1)
6 Te 0.250 0.348 0.874 (multiplicity 1)
7 Te 0.750 0.652 0.126 (multiplicity 1)
8 Te 0.750 0.848 0.626 (multiplicity 1)
9 P 0.250 0.112 0.184 (multiplicity 1)
10 P 0.250 0.389 0.684 (multiplicity 1)
11 P 0.250 0.655 0.058 (multiplicity 1)
12 P 0.250 0.845 0.558 (multiplicity 1)
13 P 0.750 0.155 0.441 (multiplicity 1)
14 P 0.750 0.345 0.941 (multiplicity 1)
15 P 0.750 0.612 0.316 (multiplicity 1)
16 P 0.750 0.888 0.816 (multiplicity 1)
17 O 0.048 0.098 0.130 (multiplicity 1)
18 O 0.048 0.403 0.630 (multiplicity 1)
19 O 0.061 0.626 0.127 (multiplicity 1)
20 O 0.061 0.875 0.626 (multiplicity 1)
21 O 0.250 0.159 0.951 (multiplicity 1)
22 O 0.250 0.222 0.753 (multiplicity 1)
23 O 0.250 0.279 0.253 (multiplicity 1)
24 O 0.250 0.342 0.451 (multiplicity 1)
25 O 0.250 0.516 0.981 (multiplicity 1)
26 O 0.250 0.524 0.777 (multiplicity 1)
27 O 0.250 0.667 0.518 (multiplicity 1)
28 O 0.250 0.833 0.018 (multiplicity 1)
29 O 0.250 0.977 0.277 (multiplicity 1)
30 O 0.250 0.985 0.481 (multiplicity 1)
31 O 0.440 0.626 0.127 (multiplicity 1)
32 O 0.440 0.875 0.627 (multiplicity 1)
33 O 0.452 0.098 0.130 (multiplicity 1)
34 O 0.453 0.403 0.630 (multiplicity 1)
35 O 0.548 0.597 0.370 (multiplicity 1)
36 O 0.548 0.903 0.870 (multiplicity 1)
37 O 0.561 0.126 0.373 (multiplicity 1)
38 O 0.561 0.375 0.873 (multiplicity 1)
39 O 0.750 0.016 0.519 (multiplicity 1)
40 O 0.750 0.023 0.723 (multiplicity 1)
41 O 0.750 0.167 0.982 (multiplicity 1)
42 O 0.750 0.333 0.482 (multiplicity 1)
43 O 0.750 0.477 0.223 (multiplicity 1)
44 O 0.750 0.485 0.019 (multiplicity 1)
45 O 0.750 0.659 0.549 (multiplicity 1)
46 O 0.750 0.779 0.247 (multiplicity 1)
47 O 0.750 0.841 0.049 (multiplicity 1)
48 O 0.751 0.721 0.747 (multiplicity 1)
49 O 0.940 0.126 0.373 (multiplicity 1)
50 O 0.940 0.375 0.873 (multiplicity 1)
51 O 0.952 0.903 0.870 (multiplicity 1)
52 O 0.953 0.597 0.370 (multiplicity 1)



No. 6
Diffraction record for Ni5TeP6O24. The powder diffraction line list is calculated, not measured: it uses DFT lattice parameters and positions (GGA+U) and Cu Kα (weighted mean of Kα1 and Kα2).
Intensities are scaled so that the largest is 100.

Largest 10 diffraction maxima, low angle first, 5° ≤ 2θ ≤ 70°:
4.326 Å, 2θ = 20.5°, rel. 100, (1 1 0)
4.250 Å, 2θ = 20.9°, rel. 21, (1 0 4)
3.662 Å, 2θ = 24.3°, rel. 69, (2 -1 3)
2.693 Å, 2θ = 33.3°, rel. 61, (1 1 6)
2.498 Å, 2θ = 36.0°, rel. 42, (3 0 0)
1.907 Å, 2θ = 47.7°, rel. 31, (3 -2 8)
1.831 Å, 2θ = 49.8°, rel. 24, (4 -2 6)
1.635 Å, 2θ = 56.3°, rel. 25, (1 4 0)
1.618 Å, 2θ = 56.9°, rel. 16, (4 -1 8)
1.477 Å, 2θ = 62.9°, rel. 20, (4 1 6)

a b c (Å): 8.6521 8.6521 20.6411
angles (deg): 90.00 90.00 120.00
Space group R3 (No. 146, hexagonal axes)
Symmetry-distinct sites (fractional):
1 Ni 0.0000 0.0000 0.0000 (multiplicity 3)
2 Ni 0.0000 0.0000 0.1365 (multiplicity 3)
3 Ni 0.0000 0.0000 0.5032 (multiplicity 3)
4 Ni 0.0000 0.0000 0.6443 (multiplicity 3)
5 Ni 0.0000 0.0000 0.7861 (multiplicity 3)
6 Te 0.0000 0.0000 0.2855 (multiplicity 3)
7 P 0.0034 0.3002 0.3959 (multiplicity 9)
8 P 0.0438 0.6749 0.5617 (multiplicity 9)
9 O 0.0039 0.7989 0.9571 (multiplicity 9)
10 O 0.0059 0.8296 0.5707 (multiplicity 9)
11 O 0.0129 0.2018 0.4540 (multiplicity 9)
12 O 0.0198 0.1855 0.0681 (multiplicity 9)
13 O 0.1302 0.6689 0.4994 (multiplicity 9)
14 O 0.1362 0.4687 0.9960 (multiplicity 9)
15 O 0.1668 0.4843 0.3829 (multiplicity 9)
16 O 0.1728 0.6825 0.8862 (multiplicity 9)



No. 7
Diffraction record for TiNiP2O9. The powder diffraction line list is calculated, not measured: it uses DFT lattice parameters and positions (GGA+U) and Cu Kα (weighted mean of Kα1 and Kα2).
Intensities are scaled so that the largest is 100.

Largest 10 diffraction maxima, low angle first, 5° ≤ 2θ ≤ 70°:
7.014 Å, 2θ = 12.6°, rel. 100, (2 0 0)
6.895 Å, 2θ = 12.8°, rel. 43, (1 0 1)
5.250 Å, 2θ = 16.9°, rel. 52, (2 0 1)
4.692 Å, 2θ = 18.9°, rel. 54, (1 1 1)
4.060 Å, 2θ = 21.9°, rel. 35, (2 1 1)
3.810 Å, 2θ = 23.3°, rel. 60, (1 0 2)
3.205 Å, 2θ = 27.8°, rel. 36, (4 0 1)
3.021 Å, 2θ = 29.6°, rel. 28, (3 0 2)
2.905 Å, 2θ = 30.8°, rel. 60, (1 2 1)
2.644 Å, 2θ = 33.9°, rel. 25, (5 0 1)

a b c (Å): 14.027 6.403 7.917
angles (deg): 90.00 90.00 90.00
Space group Pnma (No. 62)
Symmetry-distinct sites (fractional):
1 Ti 0.116 0.250 0.162 (multiplicity 4)
2 Ni 0.000 0.000 0.500 (multiplicity 4)
3 P 0.059 0.750 0.154 (multiplicity 4)
4 P 0.186 0.750 0.606 (multiplicity 4)
5 O 0.018 0.750 0.335 (multiplicity 4)
6 O 0.021 0.250 0.978 (multiplicity 4)
7 O 0.051 0.250 0.350 (multiplicity 4)
8 O 0.121 0.554 0.131 (multiplicity 8)
9 O 0.126 0.549 0.601 (multiplicity 8)
10 O 0.241 0.250 0.957 (multiplicity 4)
11 O 0.249 0.250 0.266 (multiplicity 4)